No. 1
Structure and theoretical powder diffractogram of Tc5W (a crystal structure in Alexandria, relaxed with PBE; Cu Kα, 1.54184 Å).

Atomic structure:
```
data_Tc5W
_chemical_formula_sum 'Tc20 W4'
_cell_length_a 7.1627
_cell_length_b 7.1627
_cell_length_c 7.1627
_cell_angle_alpha 90.00
_cell_angle_beta 90.00
_cell_angle_gamma 90.00
_symmetry_space_group_name_H-M 'F -4 3 m'
_symmetry_Int_Tables_number 216
_symmetry_space_group_name_Hall 'F -4 2 3'
loop_
_atom_site_label
_atom_site_type_symbol
_atom_site_fract_x
_atom_site_fract_y
_atom_site_fract_z
_atom_site_occupancy
Tc1 Tc 0.0000 0.0000 0.0000 1
Tc2 Tc 0.1250 0.1250 0.6250 1
W1 W 0.2500 0.2500 0.2500 1
```

Main lines, most intense first (10 to 90 degrees two-theta):
hkl 3 1 1, 2θ 41.83, I 100
hkl 2 2 0, 2θ 35.45, I 39
hkl 5 1 1, 2θ 68.01, I 31
hkl 2 2 2, 2θ 43.78, I 30
hkl 4 4 0, 2θ 75.01, I 25
hkl 4 2 2, 2θ 63.64, I 14
hkl 5 3 3, 2θ 89.78, I 11
hkl 6 2 0, 2θ 85.80, I 6
hkl 2 0 0, 2θ 24.86, I 4
hkl 1 1 1, 2θ 21.49, I 3



No. 2
Structure and theoretical powder diffractogram of RbPuZnBr6 (a crystal structure in Alexandria, relaxed with PBE; Cu Kα, 1.54184 Å).

Atomic structure:
```
data_RbPuZnBr6
_chemical_formula_sum 'Rb2 Pu2 Zn2 Br12'
_cell_length_a 7.2755
_cell_length_b 7.2755
_cell_length_c 15.1154
_cell_angle_alpha 90.00
_cell_angle_beta 90.00
_cell_angle_gamma 120.00
_symmetry_space_group_name_H-M 'P -3 1 c'
_symmetry_Int_Tables_number 163
_symmetry_space_group_name_Hall '-P 3 2c'
loop_
_atom_site_label
_atom_site_type_symbol
_atom_site_fract_x
_atom_site_fract_y
_atom_site_fract_z
_atom_site_occupancy
Rb1 Rb 0.0000 0.0000 0.0000 1
Pu1 Pu 0.3333 0.6667 0.2500 1
Zn1 Zn 0.3333 0.6667 0.7500 1
Br1 Br 0.0228 0.3841 0.6467 1
```

Main lines, most intense first (10 to 90 degrees two-theta):
hkl 1 1 4, 2θ 34.21, I 100
hkl 1 1 2, 2θ 27.21, I 80
hkl 1 0 2, 2θ 18.33, I 80
hkl 0 0 2, 2θ 11.71, I 67
hkl 3 0 0, 2θ 43.07, I 41
hkl 2 -1 6, 2θ 43.71, I 29
hkl 2 1 2, 2θ 39.68, I 27
hkl 1 0 1, 2θ 15.23, I 20
hkl 4 -2 4, 2θ 56.12, I 20
hkl 1 0 0, 2θ 14.06, I 19



No. 3
Structure and theoretical powder diffractogram of Tm2H5 (a crystal structure in Alexandria, relaxed with PBE; Cu Kα, 1.54184 Å).

Atomic structure:
```
data_Tm2H5
_chemical_formula_sum 'Tm8 H20'
_cell_length_a 5.2429
_cell_length_b 10.3995
_cell_length_c 4.7473
_cell_angle_alpha 90.00
_cell_angle_beta 90.00
_cell_angle_gamma 90.00
_symmetry_space_group_name_H-M 'I b a m'
_symmetry_Int_Tables_number 72
_symmetry_space_group_name_Hall '-I 2 2c'
loop_
_atom_site_label
_atom_site_type_symbol
_atom_site_fract_x
_atom_site_fract_y
_atom_site_fract_z
_atom_site_occupancy
Tm1 Tm 0.2340 0.1190 0.0000 1
H1 H 0.0000 0.2564 0.2500 1
H2 H 0.0000 0.5000 0.2500 1
H3 H 0.1672 0.0847 0.5000 1
```

Main lines, most intense first (10 to 90 degrees two-theta):
hkl 1 2 1, 2θ 30.68, I 100
hkl 2 0 0, 2θ 34.21, I 18
hkl 0 4 0, 2θ 34.50, I 18
hkl 1 6 1, 2θ 59.45, I 15
hkl 3 2 1, 2θ 59.06, I 15
hkl 0 0 2, 2θ 37.90, I 15
hkl 2 4 0, 2θ 49.37, I 13
hkl 1 2 3, 2θ 64.02, I 12
hkl 2 4 2, 2θ 63.88, I 12
hkl 0 4 2, 2θ 52.18, I 12